Theoretical X-ray diffraction stick pattern of BeVSb2Cl for λ = 1.5418 Å (Cu Kα), from DFT lattice parameters and positions (GGA-PBE).

Structural model:
```
data_BeVSb2Cl
_chemical_formula_sum 'Be1 V1 Sb2 Cl1'
_cell_length_a 5.429
_cell_length_b 5.429
_cell_length_c 4.350
_cell_angle_alpha 90.00
_cell_angle_beta 90.00
_cell_angle_gamma 90.00
_symmetry_space_group_name_H-M 'P 4/m m m'
_symmetry_Int_Tables_number 123
_symmetry_space_group_name_Hall '-P 4 2'
loop_
_atom_site_label
_atom_site_fract_x
_atom_site_fract_y
_atom_site_fract_z
Be1 0.000 0.000 0.000
V1 0.500 0.500 0.000
Sb1 0.000 0.500 0.500
Cl1 0.500 0.500 0.500
```

Peak list (6 most intense, 15° ≤ 2θ ≤ 90°, sorted by position)
| 2theta | intensity | hkl |
| --- | --- | --- |
| 20.42 | 51 | 0 0 1 |
| 23.17 | 32 | 1 1 0 |
| 31.07 | 100 | 1 1 1 |
| 33.00 | 69 | 2 0 0 |
| 39.12 | 38 | 2 0 1 |
| 57.73 | 33 | 3 1 1 |